Record 1
Structure and computed PXRD pattern of CdGeO3 (a GGA-PBE-relaxed structure; Cu Kα).

Principal peaks in the range 2θ = 10–80°, by angle:
d_spacing  two_theta  I (rel.)
3.875  22.95  214
2.909  30.73  1000
2.597  34.53  827
2.525  35.55  166
1.937  46.89  341
1.817  50.21  304
1.553  59.53  313
1.499  61.88  242

Structure:
```
CdGeO3
1.0
2.5972 1.4995 5.0856
-2.5972 1.4995 5.0856
0.0000 -2.9990 5.0856
Cd Ge O
2 2 6
Direct
0.1326 0.1326 0.1326
0.8674 0.8674 0.8674
0.3405 0.3405 0.3405
0.6595 0.6595 0.6595
0.0603 0.6878 0.4650
0.3122 0.5350 0.9397
0.4650 0.0603 0.6878
0.5350 0.9397 0.3122
0.6878 0.4650 0.0603
0.9397 0.3122 0.5350
```

Record 2
Structure and computed PXRD pattern of SrCaSmNbO6 (a GGA-PBE-relaxed structure; Cu Kα).

Principal peaks in the range 2θ = 10–80°, by angle:
d_spacing  two_theta  I (rel.)
4.920  18.03  69
4.260  20.85  233
3.013  29.65  1000
2.130  42.43  346
1.905  47.73  95
1.739  52.62  399
1.506  61.57  209
1.347  69.81  177

Structure:
```
SrCaSmNbO6
1.0
0.0000 4.2604 4.2604
4.2604 0.0000 4.2604
4.2604 4.2604 0.0000
Sr Ca Sm Nb O
1 1 1 1 6
Direct
0.0000 0.0000 0.0000
0.5000 0.5000 0.5000
0.7500 0.7500 0.7500
0.2500 0.2500 0.2500
0.0151 0.0151 0.4849
0.0151 0.4849 0.0151
0.0151 0.4849 0.4849
0.4849 0.0151 0.0151
0.4849 0.0151 0.4849
0.4849 0.4849 0.0151
```

Record 3
Structure and computed PXRD pattern of Ba2ErPaO6 (a GGA-PBE-relaxed structure; Cu Kα).

Principal peaks in the range 2θ = 10–80°, by angle:
d_spacing  two_theta  I (rel.)
4.414  20.12  80
3.121  28.60  1000
2.207  40.89  281
1.974  45.98  38
1.802  50.66  423
1.560  59.21  183
1.396  67.06  187
1.274  74.47  61

Structure:
```
Ba2ErPaO6
1.0
0.0000 4.4137 4.4137
4.4137 0.0000 4.4137
4.4137 4.4137 0.0000
Ba Er Pa O
2 1 1 6
Direct
0.2500 0.2500 0.2500
0.7500 0.7500 0.7500
0.0000 0.0000 0.0000
0.5000 0.5000 0.5000
0.2529 0.2529 0.7471
0.2529 0.7471 0.2529
0.2529 0.7471 0.7471
0.7471 0.2529 0.2529
0.7471 0.2529 0.7471
0.7471 0.7471 0.2529
```